Starting from a DFT-relaxed cell (PBE+U, the Materials Project), the powder X-ray diffraction pattern of Mg6NbVO8 was calculated for copper Kα.
No peak broadening, texture or thermal motion is included.

Structure:
```
data_Mg6NbVO8
_cell_length_a 4.335
_cell_length_b 4.335
_cell_length_c 8.772
_cell_angle_alpha 90.00
_cell_angle_beta 90.00
_cell_angle_gamma 90.00
_space_group_name_H-M_alt 'P 4/m m m'
_space_group_IT_number 123
_space_group_name_Hall '-P 4 2'
loop_
_atom_site_label
_atom_site_type_symbol
_atom_site_fract_x
_atom_site_fract_y
_atom_site_fract_z
Mg1 Mg 0.000 0.000 0.000
Mg2 Mg 0.000 0.000 0.500
Mg3 Mg 0.000 0.500 0.246
Nb1 Nb 0.500 0.500 0.500
V1 V 0.500 0.500 0.000
O1 O 0.000 0.000 0.251
O2 O 0.000 0.500 0.000
O3 O 0.000 0.500 0.500
O4 O 0.500 0.500 0.243
```

Peak list (10 most intense, 5 to 70 degrees two-theta, by intensity)
two_theta, intensity
41.67, 100
60.01, 59
41.16, 52
35.74, 48
20.49, 32
60.40, 29
28.96, 27
20.25, 17
10.08, 13
29.13, 13

---

Starting from a DFT-relaxed cell (PBE+U, the Materials Project), the powder X-ray diffraction pattern of Mg6NbVO8 was calculated for copper Kα.
No peak broadening, texture or thermal motion is included.

Structure:
```
data_Mg6NbVO8
_cell_length_a 4.326
_cell_length_b 4.326
_cell_length_c 8.738
_cell_angle_alpha 90.00
_cell_angle_beta 90.00
_cell_angle_gamma 90.00
_space_group_name_H-M_alt 'P 4/m m m'
_space_group_IT_number 123
_space_group_name_Hall '-P 4 2'
loop_
_atom_site_label
_atom_site_type_symbol
_atom_site_fract_x
_atom_site_fract_y
_atom_site_fract_z
Mg1 Mg 0.000 0.000 0.000
Mg2 Mg 0.000 0.500 0.244
Mg3 Mg 0.500 0.500 0.000
Nb1 Nb 0.000 0.000 0.500
V1 V 0.500 0.500 0.500
O1 O 0.000 0.000 0.237
O2 O 0.000 0.500 0.000
O3 O 0.000 0.500 0.500
O4 O 0.500 0.500 0.245
```

Peak list (10 most intense, 5 to 70 degrees two-theta, by intensity)
two_theta, intensity
41.76, 100
10.12, 66
60.21, 58
41.33, 51
35.83, 48
60.53, 29
30.97, 23
20.33, 17
29.19, 13
22.94, 10

---

Starting from a DFT-relaxed cell (PBE+U, the Materials Project), the powder X-ray diffraction pattern of MgNbVO4 was calculated for copper Kα.
No peak broadening, texture or thermal motion is included.

Structure:
```
data_MgNbVO4
_cell_length_a 3.003
_cell_length_b 5.416
_cell_length_c 5.604
_cell_angle_alpha 73.66
_cell_angle_beta 88.35
_cell_angle_gamma 87.40
_space_group_name_H-M_alt 'P 1'
_space_group_IT_number 1
loop_
_space_group_symop_operation_xyz
'x,y,z'
loop_
_atom_site_label
_atom_site_type_symbol
_atom_site_fract_x
_atom_site_fract_y
_atom_site_fract_z
Mg1 Mg 0.000 0.000 0.000
Nb1 Nb 0.955 0.324 0.343
V1 V 0.508 0.703 0.742
O1 O 0.433 0.508 0.487
O2 O 0.483 0.145 0.142
O3 O 0.976 0.619 0.019
O4 O 0.996 0.003 0.624
```

Peak list (10 most intense, 5 to 70 degrees two-theta, by intensity)
two_theta, intensity
27.01, 100
20.17, 78
33.89, 46
37.04, 34
32.94, 25
17.07, 24
16.49, 21
35.41, 21
33.98, 20
34.49, 20

---

Starting from a DFT-relaxed cell (PBE+U, the Materials Project), the powder X-ray diffraction pattern of MgNbVO4 was calculated for copper Kα.
No peak broadening, texture or thermal motion is included.

Structure:
```
data_MgNbVO4
_cell_length_a 4.303
_cell_length_b 4.308
_cell_length_c 8.348
_cell_angle_alpha 90.00
_cell_angle_beta 90.00
_cell_angle_gamma 90.00
_space_group_name_H-M_alt 'I m m 2'
_space_group_IT_number 44
loop_
_space_group_symop_operation_xyz
'x,y,z'
'-x,-y,z'
'-x,y,z'
'x,-y,z'
'x+1/2,y+1/2,z+1/2'
'-x+1/2,-y+1/2,z+1/2'
'-x+1/2,y+1/2,z+1/2'
'x+1/2,-y+1/2,z+1/2'
loop_
_atom_site_label
_atom_site_type_symbol
_atom_site_fract_x
_atom_site_fract_y
_atom_site_fract_z
Mg1 Mg 0.000 0.000 0.000
Nb1 Nb 0.000 0.000 0.499
V1 V 0.000 0.500 0.249
O1 O 0.000 0.000 0.254
O2 O 0.000 0.000 0.745
O3 O 0.000 0.500 0.000
O4 O 0.000 0.500 0.498
```

Peak list (10 most intense, 5 to 70 degrees two-theta, by intensity)
two_theta, intensity
23.25, 100
41.97, 73
36.53, 44
61.93, 40
43.36, 33
48.52, 26
38.52, 24
60.86, 21
21.29, 20
29.34, 18

---

Starting from a DFT-relaxed cell (PBE+U, the Materials Project), the powder X-ray diffraction pattern of MgNbVO4 was calculated for copper Kα.
No peak broadening, texture or thermal motion is included.

Structure:
```
data_MgNbVO4
_cell_length_a 4.184
_cell_length_b 4.199
_cell_length_c 8.969
_cell_angle_alpha 90.00
_cell_angle_beta 90.00
_cell_angle_gamma 90.00
_space_group_name_H-M_alt 'I m m 2'
_space_group_IT_number 44
loop_
_space_group_symop_operation_xyz
'x,y,z'
'-x,-y,z'
'-x,y,z'
'x,-y,z'
'x+1/2,y+1/2,z+1/2'
'-x+1/2,-y+1/2,z+1/2'
'-x+1/2,y+1/2,z+1/2'
'x+1/2,-y+1/2,z+1/2'
loop_
_atom_site_label
_atom_site_type_symbol
_atom_site_fract_x
_atom_site_fract_y
_atom_site_fract_z
Mg1 Mg 0.000 0.000 0.000
Nb1 Nb 0.000 0.500 0.752
V1 V 0.000 0.000 0.507
O1 O 0.000 0.000 0.248
O2 O 0.000 0.000 0.758
O3 O 0.000 0.500 0.515
O4 O 0.000 0.500 0.989
```

Peak list (10 most intense, 5 to 70 degrees two-theta, by intensity)
two_theta, intensity
23.43, 100
36.33, 34
40.22, 31
43.08, 25
43.25, 25
36.93, 24
60.40, 16
60.53, 16
62.69, 14
49.63, 13

---

Starting from a DFT-relaxed cell (PBE+U, the Materials Project), the powder X-ray diffraction pattern of MgNb4VO12 was calculated for copper Kα.
No peak broadening, texture or thermal motion is included.

Structure:
```
data_MgNb4VO12
_cell_length_a 5.282
_cell_length_b 5.654
_cell_length_c 7.770
_cell_angle_alpha 94.36
_cell_angle_beta 90.76
_cell_angle_gamma 90.09
_space_group_name_H-M_alt 'P 1'
_space_group_IT_number 1
loop_
_space_group_symop_operation_xyz
'x,y,z'
loop_
_atom_site_label
_atom_site_type_symbol
_atom_site_fract_x
_atom_site_fract_y
_atom_site_fract_z
Mg1 Mg 0.000 0.000 0.000
Nb1 Nb 0.001 0.581 0.200
Nb2 Nb 0.005 0.613 0.695
Nb3 Nb 0.503 0.132 0.725
Nb4 Nb 0.508 0.120 0.222
V1 V 0.501 0.727 0.412
O1 O 0.139 0.592 0.466
O2 O 0.171 0.270 0.148
O3 O 0.193 0.898 0.787
O4 O 0.285 0.804 0.183
O5 O 0.294 0.388 0.772
O6 O 0.414 0.088 0.473
O7 O 0.631 0.096 0.981
O8 O 0.675 0.422 0.288
O9 O 0.698 0.784 0.648
O10 O 0.787 0.890 0.265
O11 O 0.802 0.307 0.690
O12 O 0.910 0.627 0.972
```

Peak list (10 most intense, 5 to 70 degrees two-theta, by intensity)
two_theta, intensity
23.00, 100
23.11, 51
31.74, 44
32.04, 23
33.46, 20
33.95, 19
51.69, 19
51.54, 18
33.83, 18
46.91, 12

---

Starting from a DFT-relaxed cell (PBE+U, the Materials Project), the powder X-ray diffraction pattern of MgNb4VO12 was calculated for copper Kα.
No peak broadening, texture or thermal motion is included.

Structure:
```
data_MgNb4VO12
_cell_length_a 5.316
_cell_length_b 5.662
_cell_length_c 7.771
_cell_angle_alpha 85.10
_cell_angle_beta 89.95
_cell_angle_gamma 89.81
_space_group_name_H-M_alt 'P 1'
_space_group_IT_number 1
loop_
_space_group_symop_operation_xyz
'x,y,z'
loop_
_atom_site_label
_atom_site_type_symbol
_atom_site_fract_x
_atom_site_fract_y
_atom_site_fract_z
Mg1 Mg 0.000 0.000 0.000
Nb1 Nb 0.000 0.582 0.292
Nb2 Nb 0.499 0.080 0.790
Nb3 Nb 0.501 0.072 0.284
Nb4 Nb 0.997 0.572 0.790
V1 V 0.500 0.489 0.496
O1 O 0.084 0.628 0.056
O2 O 0.199 0.908 0.774
O3 O 0.216 0.321 0.357
O4 O 0.313 0.427 0.740
O5 O 0.322 0.794 0.370
O6 O 0.360 0.107 0.057
O7 O 0.589 0.123 0.552
O8 O 0.697 0.409 0.269
O9 O 0.721 0.828 0.857
O10 O 0.817 0.931 0.234
O11 O 0.820 0.293 0.876
O12 O 0.867 0.610 0.559
```

Peak list (10 most intense, 5 to 70 degrees two-theta, by intensity)
two_theta, intensity
22.98, 100
31.73, 54
33.71, 40
51.52, 24
46.92, 18
59.03, 17
51.63, 12
60.26, 11
54.20, 11
38.79, 10

---

Starting from a DFT-relaxed cell (PBE+U, the Materials Project), the powder X-ray diffraction pattern of MgNb4VO12 was calculated for copper Kα.
No peak broadening, texture or thermal motion is included.

Structure:
```
data_MgNb4VO12
_cell_length_a 5.237
_cell_length_b 5.607
_cell_length_c 7.852
_cell_angle_alpha 84.57
_cell_angle_beta 89.79
_cell_angle_gamma 89.82
_space_group_name_H-M_alt 'P 1'
_space_group_IT_number 1
loop_
_space_group_symop_operation_xyz
'x,y,z'
loop_
_atom_site_label
_atom_site_type_symbol
_atom_site_fract_x
_atom_site_fract_y
_atom_site_fract_z
Mg1 Mg 0.000 0.000 0.000
Nb1 Nb 0.005 0.437 0.713
Nb2 Nb 0.012 0.410 0.234
Nb3 Nb 0.507 0.937 0.714
Nb4 Nb 0.509 0.911 0.238
V1 V 0.511 0.512 0.011
O1 O 0.111 0.396 0.458
O2 O 0.195 0.079 0.781
O3 O 0.201 0.705 0.134
O4 O 0.308 0.195 0.136
O5 O 0.316 0.580 0.779
O6 O 0.406 0.899 0.461
O7 O 0.642 0.871 0.955
O8 O 0.689 0.579 0.248
O9 O 0.704 0.202 0.660
O10 O 0.809 0.703 0.657
O11 O 0.826 0.080 0.240
O12 O 0.879 0.372 0.955
```

Peak list (10 most intense, 5 to 70 degrees two-theta, by intensity)
two_theta, intensity
23.29, 100
22.75, 51
33.86, 39
31.75, 29
31.61, 29
32.07, 27
34.24, 20
52.08, 18
61.07, 17
46.47, 14

---

Starting from a DFT-relaxed cell (PBE+U, the Materials Project), the powder X-ray diffraction pattern of MgNbVO4 was calculated for copper Kα.
No peak broadening, texture or thermal motion is included.

Structure:
```
data_MgNbVO4
_cell_length_a 5.256
_cell_length_b 2.943
_cell_length_c 5.265
_cell_angle_alpha 90.00
_cell_angle_beta 90.92
_cell_angle_gamma 90.00
_space_group_name_H-M_alt 'P 1 2/m 1'
_space_group_IT_number 10
loop_
_space_group_symop_operation_xyz
'x,y,z'
'-x,-y,-z'
'-x,y,-z'
'x,-y,z'
loop_
_atom_site_label
_atom_site_type_symbol
_atom_site_fract_x
_atom_site_fract_y
_atom_site_fract_z
Mg1 Mg 0.000 0.000 0.000
Nb1 Nb 0.500 0.500 0.000
V1 V 0.000 0.000 0.500
O1 O 0.170 0.500 0.773
O2 O 0.312 0.000 0.222
```

Peak list (10 most intense, 5 to 70 degrees two-theta, by intensity)
two_theta, intensity
34.94, 100
49.40, 87
16.84, 63
24.12, 58
23.73, 57
49.81, 48
34.10, 44
61.59, 33
38.90, 33
48.56, 20

---

Starting from a DFT-relaxed cell (PBE+U, the Materials Project), the powder X-ray diffraction pattern of MgNb4VO12 was calculated for copper Kα.
No peak broadening, texture or thermal motion is included.

Structure:
```
data_MgNb4VO12
_cell_length_a 5.294
_cell_length_b 5.734
_cell_length_c 7.669
_cell_angle_alpha 84.69
_cell_angle_beta 89.68
_cell_angle_gamma 89.81
_space_group_name_H-M_alt 'P 1'
_space_group_IT_number 1
loop_
_space_group_symop_operation_xyz
'x,y,z'
loop_
_atom_site_label
_atom_site_type_symbol
_atom_site_fract_x
_atom_site_fract_y
_atom_site_fract_z
Mg1 Mg 0.000 0.000 0.000
Nb1 Nb 0.016 0.570 0.299
Nb2 Nb 0.490 0.092 0.780
Nb3 Nb 0.510 0.093 0.279
Nb4 Nb 0.983 0.568 0.801
V1 V 0.999 0.994 0.494
O1 O 0.096 0.637 0.556
O2 O 0.177 0.295 0.873
O3 O 0.183 0.941 0.243
O4 O 0.287 0.837 0.863
O5 O 0.314 0.419 0.256
O6 O 0.369 0.115 0.548
O7 O 0.639 0.110 0.049
O8 O 0.686 0.420 0.759
O9 O 0.706 0.831 0.364
O10 O 0.814 0.937 0.748
O11 O 0.817 0.299 0.364
O12 O 0.910 0.644 0.056
```

Peak list (10 most intense, 5 to 70 degrees two-theta, by intensity)
two_theta, intensity
22.91, 100
23.30, 49
33.89, 39
31.33, 28
31.73, 27
31.91, 27
34.00, 18
60.77, 15
46.74, 13
46.87, 13

---

Starting from a DFT-relaxed cell (PBE+U, the Materials Project), the powder X-ray diffraction pattern of MgNbVO4 was calculated for copper Kα.
No peak broadening, texture or thermal motion is included.

Structure:
```
data_MgNbVO4
_cell_length_a 4.186
_cell_length_b 4.190
_cell_length_c 8.957
_cell_angle_alpha 90.00
_cell_angle_beta 90.00
_cell_angle_gamma 90.00
_space_group_name_H-M_alt 'I m m 2'
_space_group_IT_number 44
loop_
_space_group_symop_operation_xyz
'x,y,z'
'-x,-y,z'
'-x,y,z'
'x,-y,z'
'x+1/2,y+1/2,z+1/2'
'-x+1/2,-y+1/2,z+1/2'
'-x+1/2,y+1/2,z+1/2'
'x+1/2,-y+1/2,z+1/2'
loop_
_atom_site_label
_atom_site_type_symbol
_atom_site_fract_x
_atom_site_fract_y
_atom_site_fract_z
Mg1 Mg 0.000 0.000 0.000
Nb1 Nb 0.000 0.500 0.751
V1 V 0.000 0.000 0.504
O1 O 0.000 0.000 0.247
O2 O 0.000 0.000 0.756
O3 O 0.000 0.500 0.514
O4 O 0.000 0.500 0.989
```

Peak list (10 most intense, 5 to 70 degrees two-theta, by intensity)
two_theta, intensity
23.45, 100
43.20, 50
36.37, 34
60.54, 32
40.28, 31
49.73, 25
36.98, 25
62.75, 14
58.14, 13
55.82, 10

---

Starting from a DFT-relaxed cell (PBE+U, the Materials Project), the powder X-ray diffraction pattern of Rb2Nd2MgW4O16 was calculated for copper Kα.
No peak broadening, texture or thermal motion is included.

Structure:
```
data_Rb2Nd2MgW4O16
_cell_length_a 11.226
_cell_length_b 11.178
_cell_length_c 7.650
_cell_angle_alpha 90.00
_cell_angle_beta 130.05
_cell_angle_gamma 90.00
_space_group_name_H-M_alt 'C 1 2 1'
_space_group_IT_number 5
loop_
_space_group_symop_operation_xyz
'x,y,z'
'-x,y,-z'
'x+1/2,y+1/2,z'
'-x+1/2,y+1/2,-z'
loop_
_atom_site_label
_atom_site_type_symbol
_atom_site_fract_x
_atom_site_fract_y
_atom_site_fract_z
Rb1 Rb 0.000 0.000 0.000
Rb2 Rb 0.000 0.317 0.500
Nd1 Nd 0.000 0.339 0.000
Nd2 Nd 0.000 0.881 0.500
Mg1 Mg 0.000 0.741 0.000
W1 W 0.196 0.614 0.457
W2 W 0.200 0.598 0.956
O1 O 0.013 0.728 0.745
O2 O 0.020 0.508 0.217
O3 O 0.140 0.204 0.955
O4 O 0.142 0.015 0.449
O5 O 0.179 0.556 0.674
O6 O 0.203 0.671 0.209
O7 O 0.211 0.256 0.380
O8 O 0.214 0.953 0.885
```

Peak list (10 most intense, 5 to 70 degrees two-theta, by intensity)
two_theta, intensity
26.14, 100
28.30, 81
32.08, 41
30.53, 36
15.86, 32
32.26, 23
47.37, 16
47.60, 15
44.84, 15
45.67, 14